1.
Diffraction record for YSnC. The powder diffraction line list is computed, not measured: it uses a PBE-relaxed structure and Cu Kα (λ = 1.5418 Å).
Lines closer than 0.1° are merged.

Peak list (8 most intense, 2θ = 10–90°, in order of rising 2θ)
10.05 deg, I 73
31.41 deg, I 100
32.79 deg, I 97
33.06 deg, I 33
34.81 deg, I 70
41.75 deg, I 24
55.45 deg, I 42
59.45 deg, I 35

Atomic structure:
Lattice parameters (Å, degrees): 3.783 4.327 17.605 90.00 90.00 90.00
Space group Immm (No. 71)
Inequivalent atoms, fractional coordinates:
1 Y 0.000 0.000 0.105 [4 per cell]
2 Sn 0.000 0.000 0.292 [4 per cell]
3 C 0.000 0.354 0.000 [4 per cell]

=====

2.
Diffraction record for CsU4S8. The powder diffraction line list is computed, not measured: it uses a PBE-relaxed structure and Cu Kα (λ = 1.5418 Å).
Lines closer than 0.1° are merged.

Peak list (8 most intense, 2θ = 10–90°, in order of rising 2θ)
12.92 deg, I 95
24.89 deg, I 100
26.01 deg, I 47
30.12 deg, I 56
39.46 deg, I 54
43.12 deg, I 63
51.05 deg, I 31
59.87 deg, I 26

Atomic structure:
Lattice parameters (Å, degrees): 11.866 11.866 11.866 90.00 90.00 90.00
Space group F-43m (No. 216)
Inequivalent atoms, fractional coordinates:
1 Cs 0.000 0.000 0.000 [4 per cell]
2 U 0.123 0.123 0.623 [16 per cell]
3 S 0.107 0.107 0.393 [16 per cell]
4 S 0.150 0.150 0.850 [16 per cell]

=====

3.
Diffraction record for CsSiO2. The powder diffraction line list is computed, not measured: it uses a PBE-relaxed structure and Cu Kα (λ = 1.5418 Å).
Lines closer than 0.1° are merged.

Peak list (8 most intense, 2θ = 10–90°, in order of rising 2θ)
18.27 deg, I 24
30.04 deg, I 100
35.39 deg, I 39
53.35 deg, I 38
56.87 deg, I 12
62.45 deg, I 16
70.84 deg, I 17
86.59 deg, I 20

Atomic structure:
Lattice parameters (Å, degrees): 8.413 8.413 8.413 90.00 90.00 90.00
Space group Fd-3m (No. 227, origin choice 2)
Inequivalent atoms, fractional coordinates:
1 Cs 0.125 0.125 0.125 [8 per cell]
2 Si 0.125 0.125 0.625 [8 per cell]
3 O 0.000 0.000 0.500 [16 per cell]

=====

4.
Diffraction record for CeY4Ho3S8. The powder diffraction line list is computed, not measured: it uses a PBE-relaxed structure and Cu Kα (λ = 1.5418 Å).
Lines closer than 0.1° are merged.

Peak list (8 most intense, 2θ = 10–90°, in order of rising 2θ)
27.89 deg, I 64
32.31 deg, I 100
46.35 deg, I 71
54.96 deg, I 31
57.63 deg, I 24
74.67 deg, I 12
76.96 deg, I 31
85.94 deg, I 24

Atomic structure:
Lattice parameters (Å, degrees): 7.8372 7.8372 19.1859 90.00 90.00 120.00
Space group R-3m (No. 166, hexagonal axes)
Inequivalent atoms, fractional coordinates:
1 Ce 0.0000 0.0000 0.0000 [3 per cell]
2 Y 0.0000 0.0000 0.5000 [3 per cell]
3 Y 0.0000 0.5000 0.5000 [9 per cell]
4 Ho 0.0000 0.5000 0.0000 [9 per cell]
5 S 0.0000 0.0000 0.2511 [6 per cell]
6 S 0.0050 0.5025 0.2499 [18 per cell]

=====

5.
Diffraction record for Pr6Sn2Te3As. The powder diffraction line list is computed, not measured: it uses a PBE-relaxed structure and Cu Kα (λ = 1.5418 Å).
Lines closer than 0.1° are merged.

Peak list (8 most intense, 2θ = 10–90°, in order of rising 2θ)
27.92 deg, I 100
39.78 deg, I 38
40.00 deg, I 38
49.49 deg, I 21
57.69 deg, I 13
65.15 deg, I 11
65.44 deg, I 18
72.57 deg, I 11

Atomic structure:
Lattice parameters (Å, degrees): 19.728 4.504 9.075 90.00 103.67 90.00
Space group C2/m (No. 12)
Inequivalent atoms, fractional coordinates:
1 Pr 0.002 0.000 0.233 [4 per cell]
2 Pr 0.159 0.500 0.086 [4 per cell]
3 Pr 0.168 0.500 0.578 [4 per cell]
4 Sn 0.166 0.000 0.332 [4 per cell]
5 Te 0.000 0.500 0.500 [2 per cell]
6 Te 0.167 0.000 0.834 [4 per cell]
7 As 0.000 0.500 0.000 [2 per cell]

=====

6.
Diffraction record for Mn2GeHSe. The powder diffraction line list is computed, not measured: it uses a PBE-relaxed structure and Cu Kα (λ = 1.5418 Å).
Lines closer than 0.1° are merged.

Peak list (8 most intense, 2θ = 10–90°, in order of rising 2θ)
18.75 deg, I 26
34.81 deg, I 100
38.03 deg, I 45
39.87 deg, I 27
40.08 deg, I 38
44.53 deg, I 28
45.33 deg, I 81
46.49 deg, I 35

Atomic structure:
Lattice parameters (Å, degrees): 8.999 2.972 5.247 90.00 115.60 90.00
Space group Cm (No. 8)
Inequivalent atoms, fractional coordinates:
1 Mn 0.000 0.000 0.000 [2 per cell]
2 Mn 0.039 0.000 0.502 [2 per cell]
3 Ge 0.216 0.500 0.987 [2 per cell]
4 H 0.022 0.500 0.230 [2 per cell]
5 Se 0.348 0.000 0.621 [2 per cell]

=====

7.
Diffraction record for NaLi3Pb6. The powder diffraction line list is computed, not measured: it uses a PBE-relaxed structure and Cu Kα (λ = 1.5418 Å).
Lines closer than 0.1° are merged.

Peak list (8 most intense, 2θ = 10–90°, in order of rising 2θ)
20.95 deg, I 49
25.48 deg, I 83
32.85 deg, I 86
33.57 deg, I 100
35.97 deg, I 47
36.70 deg, I 41
52.33 deg, I 31
63.17 deg, I 26

Atomic structure:
Lattice parameters (Å, degrees): 9.669 4.993 10.794 90.00 95.58 90.00
Space group P2_1/m (No. 11)
Inequivalent atoms, fractional coordinates:
1 Na 0.054 0.250 0.406 [2 per cell]
2 Li 0.258 0.250 0.038 [2 per cell]
3 Li 0.359 0.750 0.823 [2 per cell]
4 Li 0.452 0.250 0.603 [2 per cell]
5 Pb 0.065 0.750 0.910 [2 per cell]
6 Pb 0.155 0.750 0.215 [2 per cell]
7 Pb 0.188 0.250 0.736 [2 per cell]
8 Pb 0.279 0.750 0.527 [2 per cell]
9 Pb 0.380 0.250 0.322 [2 per cell]
10 Pb 0.469 0.750 0.104 [2 per cell]

=====

8.
Diffraction record for Pr2CuBiO5. The powder diffraction line list is computed, not measured: it uses a PBE-relaxed structure and Cu Kα (λ = 1.5418 Å).
Lines closer than 0.1° are merged.

Peak list (8 most intense, 2θ = 10–90°, in order of rising 2θ)
18.32 deg, I 36
27.39 deg, I 43
29.47 deg, I 100
32.30 deg, I 35
37.14 deg, I 23
40.43 deg, I 30
44.07 deg, I 30
49.73 deg, I 23

Atomic structure:
Lattice parameters (Å, degrees): 6.848 6.848 6.513 90.00 90.00 90.00
Space group P4/mbm (No. 127)
Inequivalent atoms, fractional coordinates:
1 Pr 0.174 0.326 0.000 [4 per cell]
2 Cu 0.000 0.000 0.500 [2 per cell]
3 Bi 0.000 0.500 0.500 [2 per cell]
4 O 0.000 0.000 0.000 [2 per cell]
5 O 0.146 0.646 0.233 [8 per cell]